# TaW2O8
Calculated PXRD pattern, λ = 1.5418 Å (Cu Kα). Input: a structure optimized by DFT (PBE+U).

The 8 most intense peaks (15 to 90 degrees two-theta), by angle:
2theta	intensity	h k l
21.1	100	1 1 -1
30.2	77	0 2 1
33.8	58	2 2 -1
33.9	87	2 0 0
38.1	22	2 0 -2
43.1	23	3 1 -1
47.0	25	0 0 2
49.4	28	1 3 -2

Cell and atoms:
Cell lengths 6.5541, 9.1623, 4.7998 Å; angles 90.00, 126.24, 90.00 degrees
Space group C2 (No. 5)
Asymmetric unit:
Ta: 0.0000 0.0000 0.0000 (multiplicity 2)
W: 0.0000 0.3901 0.0000 (multiplicity 2)
W: 0.0000 0.6587 0.5000 (multiplicity 2)
O: 0.1302 0.2056 0.3044 (multiplicity 4)
O: 0.1344 0.8357 0.8540 (multiplicity 4)
O: 0.1909 0.4663 0.4954 (multiplicity 4)
O: 0.1917 0.5666 0.9854 (multiplicity 4)